[1]
The following is a computed PXRD pattern of Pr14ErTh. It was derived from a cell relaxed with GGA-PBE, using Cu Kα (λ = 1.5418 Å).

Structure:
```
data_Pr14ErTh
_cell_length_a 7.3677
_cell_length_b 7.3677
_cell_length_c 10.5030
_cell_angle_alpha 90.00
_cell_angle_beta 90.00
_cell_angle_gamma 90.00
_space_group_name_H-M_alt 'P 1'
_space_group_IT_number 1
_space_group_name_Hall 'P 1'
loop_
_atom_site_label
_atom_site_fract_x
_atom_site_fract_y
_atom_site_fract_z
_atom_site_occupancy
Pr1 0.0000 0.0000 0.0000 1
Pr2 0.0000 0.5000 0.0000 1
Pr3 0.0000 0.5000 0.5000 1
Pr4 0.2483 0.2483 0.2544 1
Pr5 0.2483 0.2483 0.7456 1
Pr6 0.2483 0.7517 0.2544 1
Pr7 0.2483 0.7517 0.7456 1
Pr8 0.5000 0.0000 0.0000 1
Pr9 0.5000 0.0000 0.5000 1
Pr10 0.5000 0.5000 0.0000 1
Pr11 0.7517 0.2483 0.2544 1
Pr12 0.7517 0.2483 0.7456 1
Pr13 0.7517 0.7517 0.2544 1
Pr14 0.7517 0.7517 0.7456 1
Er1 0.5000 0.5000 0.5000 1
Th1 0.0000 0.0000 0.5000 1
```

Top 10 peaks for 2θ from 5° to 70°, low angle first:
- 2θ 8.4, d 10.503, rel. 1
- 2θ 19.0, d 4.667, rel. 1
- 2θ 29.6, d 3.016, rel. 100
- 2θ 34.1, d 2.626, rel. 17
- 2θ 34.4, d 2.605, rel. 34
- 2θ 49.3, d 1.849, rel. 24
- 2θ 49.5, d 1.842, rel. 12
- 2θ 58.4, d 1.581, rel. 15
- 2θ 58.7, d 1.572, rel. 29
- 2θ 61.5, d 1.508, rel. 13

---

[2]
The following is a computed PXRD pattern of BaSmPb. It was derived from a cell relaxed with GGA-PBE, using Cu Kα (λ = 1.5418 Å).

Structure:
```
data_BaSmPb
_cell_length_a 5.3955
_cell_length_b 5.3955
_cell_length_c 4.8494
_cell_angle_alpha 90.00
_cell_angle_beta 90.00
_cell_angle_gamma 120.00
_space_group_name_H-M_alt 'P 1'
_space_group_IT_number 1
_space_group_name_Hall 'P 1'
loop_
_atom_site_label
_atom_site_fract_x
_atom_site_fract_y
_atom_site_fract_z
_atom_site_occupancy
Ba1 0.0000 0.0000 0.0000 1
Sm1 0.3333 0.6667 0.5005 1
Pb1 0.6667 0.3333 0.4986 1
```

Top 10 peaks for 2θ from 5° to 70°, low angle first:
- 2θ 18.3, d 4.849, rel. 20
- 2θ 26.5, d 3.365, rel. 100
- 2θ 33.2, d 2.698, rel. 68
- 2θ 37.1, d 2.425, rel. 17
- 2θ 38.2, d 2.358, rel. 20
- 2θ 43.0, d 2.105, rel. 28
- 2θ 50.6, d 1.803, rel. 42
- 2θ 55.4, d 1.659, rel. 26
- 2θ 59.3, d 1.558, rel. 13
- 2θ 60.6, d 1.528, rel. 10